Record 1
This entry pairs a crystal structure of Na3Pr3SnS8 with its computed XRD peak list. Radiation: copper Kα. Structure: a PBE-relaxed structure.
Kinematic intensities with the Lorentz-polarization factor, no thermal factor.

Peak list (10 most intense, 10° ≤ 2θ ≤ 80°, in order of falling intensity)
d (Å)  2theta  I/Imax
2.906  30.8  100
6.744  13.1  88
3.496  25.5  44
2.049  44.2  35
2.060  44.0  35
3.350  26.6  23
1.961  46.3  22
2.241  40.2  20
1.675  54.8  18
2.669  33.6  17

Cell and atoms:
abc: 8.239 8.239 8.239
angles: 59.67 59.67 59.67
Positions (direct):
Na  0.000  0.500  0.500
Na  0.500  0.000  0.500
Na  0.500  0.500  0.000
Pr  0.000  0.000  0.500
Pr  0.000  0.500  0.000
Pr  0.500  0.000  0.000
Sn  0.500  0.500  0.500
S  0.244  0.244  0.244
S  0.269  0.727  0.727
S  0.273  0.273  0.731
S  0.273  0.731  0.273
S  0.727  0.269  0.727
S  0.727  0.727  0.269
S  0.731  0.273  0.273
S  0.756  0.756  0.756

***

Record 2
This entry pairs a crystal structure of Li2In5Pd5 with its computed XRD peak list. Radiation: copper Kα. Structure: a PBE-relaxed structure.
Kinematic intensities with the Lorentz-polarization factor, no thermal factor.

Peak list (10 most intense, 10° ≤ 2θ ≤ 80°, in order of falling intensity)
d (Å)  2theta  I/Imax
2.351  38.3  100
2.387  37.7  99
2.182  41.4  39
2.212  40.8  32
1.830  49.8  25
1.402  66.7  19
2.936  30.5  15
1.410  66.3  14
1.284  73.8  11
4.363  20.4  11

Cell and atoms:
abc: 6.887 6.887 9.892
angles: 117.00 117.00 30.83
Positions (direct):
Li  0.063  0.063  0.253
Li  0.937  0.937  0.747
In  0.000  0.000  0.500
In  0.153  0.153  0.993
In  0.265  0.265  0.724
In  0.735  0.735  0.276
In  0.847  0.847  0.007
Pd  0.347  0.347  0.515
Pd  0.393  0.393  0.244
Pd  0.500  0.500  0.000
Pd  0.607  0.607  0.756
Pd  0.653  0.653  0.485

***

Record 3
This entry pairs a crystal structure of Ac3ThS4 with its computed XRD peak list. Radiation: copper Kα. Structure: a PBE-relaxed structure.
Kinematic intensities with the Lorentz-polarization factor, no thermal factor.

Peak list (10 most intense, 10° ≤ 2θ ≤ 80°, in order of falling intensity)
d (Å)  2theta  I/Imax
3.458  25.8  100
2.995  29.8  98
2.118  42.7  62
1.806  50.5  53
1.340  70.3  28
1.729  53.0  26
1.374  68.2  18
1.223  78.1  17
1.497  62.0  12
2.115  42.8  12

Cell and atoms:
abc: 7.340 7.340 4.229
angles: 90.00 90.00 109.44
Positions (direct):
Ac  0.000  0.000  0.000
Ac  0.000  0.500  0.500
Ac  0.500  0.000  0.500
Th  0.500  0.500  0.000
S  0.257  0.743  0.000
S  0.263  0.263  0.500
S  0.737  0.737  0.500
S  0.743  0.257  0.000

***

Record 4
This entry pairs a crystal structure of Dy4CoOs with its computed XRD peak list. Radiation: copper Kα. Structure: a PBE-relaxed structure.
Kinematic intensities with the Lorentz-polarization factor, no thermal factor.

Peak list (10 most intense, 10° ≤ 2θ ≤ 80°, in order of falling intensity)
d (Å)  2theta  I/Imax
2.408  37.3  100
2.826  31.7  81
2.522  35.6  44
2.740  32.7  42
2.728  32.8  41
2.512  35.7  41
1.906  47.7  37
2.943  30.4  20
1.877  48.5  18
1.611  57.2  18

Cell and atoms:
abc: 6.178 6.444 7.622
angles: 90.00 107.71 90.00
Positions (direct):
Dy  0.000  0.000  0.240
Dy  0.000  0.000  0.760
Dy  0.000  0.500  0.240
Dy  0.000  0.500  0.760
Dy  0.431  0.250  0.605
Dy  0.452  0.250  0.114
Dy  0.548  0.750  0.886
Dy  0.569  0.750  0.395
Co  0.244  0.750  0.065
Co  0.756  0.250  0.935
Os  0.217  0.750  0.552
Os  0.783  0.250  0.448

***

Record 5
This entry pairs a crystal structure of Ce2HoIn2Ag2 with its computed XRD peak list. Radiation: copper Kα. Structure: a PBE-relaxed structure.
Kinematic intensities with the Lorentz-polarization factor, no thermal factor.

Peak list (10 most intense, 10° ≤ 2θ ≤ 80°, in order of falling intensity)
d (Å)  2theta  I/Imax
2.387  37.7  100
2.774  32.3  87
2.567  35.0  51
1.410  66.3  49
1.747  52.4  27
1.809  50.4  25
1.442  64.6  23
1.378  68.0  17
4.083  21.8  9
3.245  27.5  9

Cell and atoms:
abc: 9.157 9.157 9.157
angles: 30.22 30.22 30.22
Positions (direct):
Ce  0.139  0.139  0.139
Ce  0.861  0.861  0.861
Ho  0.000  0.000  0.000
In  0.267  0.267  0.267
In  0.733  0.733  0.733
Ag  0.401  0.401  0.401
Ag  0.599  0.599  0.599

***

Record 6
This entry pairs a crystal structure of Ni2W with its computed XRD peak list. Radiation: copper Kα. Structure: a PBE-relaxed structure.
Kinematic intensities with the Lorentz-polarization factor, no thermal factor.

Peak list (10 most intense, 10° ≤ 2θ ≤ 80°, in order of falling intensity)
d (Å)  2theta  I/Imax
2.001  45.3  100
1.990  45.6  58
3.579  24.9  46
2.107  42.9  42
2.273  39.6  31
3.386  26.3  19
1.545  59.8  18
1.306  72.3  17
2.583  34.7  12
2.202  41.0  11

Cell and atoms:
abc: 6.899 6.899 4.215
angles: 90.00 90.00 158.02
Positions (direct):
Ni  0.053  0.947  0.750
Ni  0.281  0.719  0.250
Ni  0.719  0.281  0.750
Ni  0.947  0.053  0.250
W  0.387  0.613  0.750
W  0.613  0.387  0.250

***

Record 7
This entry pairs a crystal structure of Pm2ErN3 with its computed XRD peak list. Radiation: copper Kα. Structure: a PBE-relaxed structure.
Kinematic intensities with the Lorentz-polarization factor, no thermal factor.

Peak list (7 most intense, 10° ≤ 2θ ≤ 80°, in order of falling intensity)
d (Å)  2theta  I/Imax
2.905  30.8  100
2.516  35.7  73
1.779  51.4  50
1.517  61.1  45
1.453  64.1  17
1.258  75.6  8
7.544  11.7  1

Cell and atoms:
abc: 7.953 7.953 7.953
angles: 154.14 154.14 36.90
Positions (direct):
Pm  0.164  0.164  0.000
Pm  0.836  0.836  0.000
Er  0.500  0.500  0.000
N  0.000  0.000  0.000
N  0.339  0.339  0.000
N  0.661  0.661  0.000

***

Record 8
This entry pairs a crystal structure of Pr12NdY5 with its computed XRD peak list. Radiation: copper Kα. Structure: a PBE-relaxed structure.
Kinematic intensities with the Lorentz-polarization factor, no thermal factor.

Peak list (10 most intense, 10° ≤ 2θ ≤ 80°, in order of falling intensity)
d (Å)  2theta  I/Imax
3.002  29.8  100
2.603  34.5  34
1.569  58.9  29
1.837  49.6  24
2.592  34.6  17
1.564  59.1  14
1.501  61.8  12
1.841  49.5  12
1.302  72.6  4
7.778  11.4  2

Cell and atoms:
abc: 11.019 11.019 5.207
angles: 90.00 90.00 90.23
Positions (direct):
Pr  0.001  0.668  0.500
Pr  0.165  0.165  0.000
Pr  0.167  0.501  0.000
Pr  0.332  0.999  0.500
Pr  0.333  0.333  0.500
Pr  0.499  0.833  0.000
Pr  0.501  0.167  0.000
Pr  0.667  0.667  0.500
Pr  0.668  0.001  0.500
Pr  0.833  0.499  0.000
Pr  0.835  0.835  0.000
Pr  0.999  0.332  0.500
Nd  0.500  0.500  0.000
Y  0.000  0.000  0.500
Y  0.167  0.833  0.000
Y  0.333  0.667  0.500
Y  0.667  0.333  0.500
Y  0.833  0.167  0.000